The following is a calculated X-ray diffraction stick pattern of SiPdO3. It was derived from a DFT-relaxed cell (GGA-PBE, the Materials Project), using Cu Ka.

Structural model:
Unit cell a=3.598 b=3.598 c=3.598 alpha=90.00 beta=90.00 gamma=90.00
Fractional positions:
Si 0.000 0.000 0.000
Pd 0.500 0.500 0.500
O 0.000 0.000 0.500
O 0.000 0.500 0.000
O 0.500 0.000 0.000

Main lines, by angle (2θ = 15–90°):
2θ/deg	I_rel	(hkl)
24.7	33	1 0 0
35.3	100	1 1 0
43.6	41	1 1 1
50.7	39	2 0 0
57.2	15	2 1 0
63.3	37	2 1 1
74.6	22	2 2 0
85.3	17	3 1 0